Starting from a GGA-PBE-relaxed structure, the PXRD pattern of LiMgAgGe was computed for CuKα.
Neutral-atom scattering factors, no anomalous dispersion.

Structural model:
Cell: 4.769 4.769 6.090 Å, 90.00 90.00 90.00°
Space group I-4m2 (No. 119)
Unique sites:
Li 0.000 0.000 0.000 x2
Mg 0.000 0.500 0.750 x2
Ag 0.000 0.500 0.250 x2
Ge 0.000 0.000 0.500 x2

Peak list (10 most intense, 2θ from 5° to 70°, by angle)
(hkl)	2θ/deg	intensity
1 0 1	23.70	100
1 1 0	26.43	10
2 0 0	37.73	57
1 1 2	39.89	97
2 1 1	45.04	35
1 0 3	48.76	14
2 2 0	54.42	19
3 0 1	60.16	7
2 1 3	63.24	12
3 1 2	69.56	35